Starting from a cell relaxed with GGA+U, the X-ray diffraction stick pattern of Li5Mn5Sn2O12 was computed for Cu Kα.

Cell and atoms:
```
24
Lattice="2.700 -4.666 0.000 2.700 4.666 0.000 -1.866 0.000 10.119" Properties=species:S:1:pos:R:3 pbc="T T T"
Li 0.000 0.000 0.000
Li -0.068 -0.140 7.605
Li 0.865 -1.648 2.496
Li 3.602 -0.140 2.514
Li 2.669 -1.648 7.623
Mn 0.871 1.461 2.465
Mn 1.767 3.039 5.060
Mn 1.767 -0.099 5.060
Mn 2.663 1.461 7.654
Mn 2.700 -1.500 0.000
Sn 2.700 1.599 0.000
Sn 1.767 -3.192 5.060
O 1.835 2.997 1.279
O -0.070 0.006 3.806
O 0.795 1.463 6.276
O 1.700 2.997 8.840
O 1.914 0.004 1.163
O 2.740 1.463 3.843
O 0.896 -1.719 6.288
O 1.620 0.004 8.956
O 1.809 -2.972 1.122
O 2.638 -1.719 3.831
O 3.604 0.006 6.313
O 1.725 -2.972 8.997
```

Largest 12 diffraction maxima, by angle, 10 to 90 degrees two-theta:
- 17.5°, rel. 72
- 19.0°, rel. 47
- 22.4°, rel. 68
- 30.3°, rel. 29
- 33.8°, rel. 38
- 35.2°, rel. 18
- 35.4°, rel. 36
- 35.5°, rel. 18
- 41.0°, rel. 100
- 41.2°, rel. 51
- 59.3°, rel. 45
- 59.7°, rel. 29



Starting from a cell relaxed with GGA+U, the X-ray diffraction stick pattern of Li3Mn4SnO8 was computed for Cu Kα.

Cell and atoms:
```
16
Lattice="6.211 0.000 0.000 3.057 5.414 0.000 3.063 1.832 5.121" Properties=species:S:1:pos:R:3 pbc="T T T"
Li 0.000 0.000 0.000
Li 3.060 3.623 2.561
Li 4.637 0.916 2.561
Mn 1.531 0.916 2.561
Mn 1.529 2.707 0.000
Mn 3.105 0.000 0.000
Mn 4.634 2.707 0.000
Sn 6.165 3.623 2.561
O 4.591 4.434 1.397
O 6.150 5.353 3.774
O 3.072 1.635 1.142
O 4.776 2.702 3.875
O 7.555 4.545 1.246
O 9.259 5.611 3.979
O 6.180 1.893 1.347
O 7.739 2.812 3.724
```

Largest 12 diffraction maxima, by angle, 10 to 90 degrees two-theta:
- 17.4°, rel. 56
- 17.5°, rel. 100
- 20.2°, rel. 17
- 33.4°, rel. 21
- 33.6°, rel. 44
- 35.1°, rel. 35
- 35.2°, rel. 17
- 35.5°, rel. 17
- 40.7°, rel. 50
- 41.0°, rel. 99
- 59.2°, rel. 29
- 59.5°, rel. 29



Starting from a cell relaxed with GGA+U, the X-ray diffraction stick pattern of Li4Mn5SnO12 was computed for Cu Kα.

Cell and atoms:
```
22
Lattice="2.675 -4.504 0.000 2.675 4.504 0.000 -0.178 0.000 10.281" Properties=species:S:1:pos:R:3 pbc="T T T"
Li 1.878 2.477 7.669
Li 3.294 2.477 2.611
Li 1.878 -2.477 7.669
Li 3.294 -2.477 2.611
Mn -0.089 0.000 5.140
Mn 2.675 3.024 0.000
Mn 2.586 1.473 5.140
Mn 2.586 -1.473 5.140
Mn 2.675 -3.024 0.000
Sn 2.675 0.000 0.000
O 1.755 2.858 4.057
O 0.645 0.000 9.284
O 1.959 1.606 1.161
O 1.634 0.000 4.223
O 3.418 2.858 6.224
O 3.214 1.606 9.119
O 1.959 -1.606 1.161
O 1.755 -2.858 4.057
O 3.539 0.000 6.058
O 3.214 -1.606 9.119
O 4.527 0.000 0.996
O 3.418 -2.858 6.224
```

Largest 12 diffraction maxima, by angle, 10 to 90 degrees two-theta:
- 17.3°, rel. 100
- 33.5°, rel. 11
- 35.3°, rel. 17
- 35.4°, rel. 16
- 37.6°, rel. 10
- 38.2°, rel. 11
- 43.3°, rel. 20
- 43.7°, rel. 19
- 56.7°, rel. 10
- 57.2°, rel. 10
- 61.0°, rel. 10
- 61.3°, rel. 7



Starting from a cell relaxed with GGA+U, the X-ray diffraction stick pattern of Li2Mn3SnO8 was computed for Cu Kα.

Cell and atoms:
```
28
Lattice="2.923 -5.331 0.000 2.923 5.331 0.000 0.000 0.000 9.771" Properties=species:S:1:pos:R:3 pbc="T T T"
Li 2.923 5.209 4.886
Li 2.923 1.638 3.961
Li 2.923 -1.638 8.847
Li 2.923 -5.209 0.000
Mn 1.478 0.876 7.068
Mn 2.923 3.495 7.057
Mn 1.478 -0.876 2.183
Mn 4.368 0.876 7.068
Mn 2.923 -3.495 2.171
Mn 4.368 -0.876 2.183
Sn 2.923 1.959 9.758
Sn 2.923 -1.959 4.873
O 2.923 5.250 7.935
O 1.624 2.749 8.280
O 1.388 1.045 1.017
O 2.923 3.779 1.050
O 2.923 1.794 6.091
O 1.388 -1.045 5.902
O 4.222 2.749 8.280
O 2.923 0.290 8.292
O 2.923 -0.290 3.406
O 1.624 -2.749 3.395
O 4.458 1.045 1.017
O 2.923 -1.794 1.205
O 2.923 -3.779 5.936
O 4.458 -1.045 5.902
O 4.222 -2.749 3.395
O 2.923 -5.250 3.049
```

Largest 12 diffraction maxima, by angle, 10 to 90 degrees two-theta:
- 19.0°, rel. 34
- 19.6°, rel. 100
- 24.7°, rel. 23
- 25.2°, rel. 22
- 32.6°, rel. 39
- 34.8°, rel. 46
- 34.9°, rel. 23
- 35.8°, rel. 23
- 36.2°, rel. 22
- 45.0°, rel. 26
- 59.5°, rel. 26
- 61.0°, rel. 20



Starting from a cell relaxed with GGA+U, the X-ray diffraction stick pattern of Li2Mn3SnO8 was computed for Cu Kα.

Cell and atoms:
```
56
Lattice="8.396 0.000 0.000 0.000 8.431 0.000 0.000 0.000 8.960" Properties=species:S:1:pos:R:3 pbc="T T T"
Li 0.015 0.000 0.051
Li 2.083 6.344 6.711
Li 2.115 2.087 2.232
Li 4.184 8.430 4.531
Li 4.213 4.215 8.909
Li 6.281 6.302 2.248
Li 6.314 2.129 6.728
Li 8.382 4.215 4.429
Mn 1.014 3.072 7.912
Mn 1.030 0.993 5.618
Mn 1.102 7.397 3.363
Mn 3.096 1.034 7.843
Mn 3.168 7.437 1.138
Mn 3.185 5.358 3.432
Mn 5.212 1.143 1.048
Mn 5.228 3.222 3.342
Mn 5.300 5.249 5.596
Mn 7.294 3.182 1.116
Mn 7.366 5.209 7.822
Mn 7.383 7.287 5.527
Sn 1.068 5.248 1.160
Sn 3.130 3.183 5.640
Sn 5.266 7.398 7.799
Sn 7.328 1.032 3.319
O 0.853 3.195 1.166
O 0.942 5.091 7.990
O 0.958 7.441 5.336
O 1.021 0.886 3.383
O 1.067 2.967 5.647
O 1.174 1.132 7.836
O 1.186 7.351 1.372
O 1.206 5.429 3.293
O 2.993 3.002 7.773
O 3.012 1.080 5.852
O 3.025 7.299 3.356
O 3.131 5.464 1.168
O 3.177 7.545 7.863
O 3.241 0.990 0.856
O 3.256 3.340 3.510
O 3.345 5.236 5.646
O 5.051 1.020 7.793
O 5.140 7.555 0.969
O 5.156 5.205 3.624
O 5.219 3.329 5.576
O 5.266 1.249 3.312
O 5.372 3.084 1.123
O 5.384 5.295 7.588
O 5.404 7.217 5.667
O 7.191 1.214 1.187
O 7.210 3.136 3.108
O 7.223 5.347 5.603
O 7.329 7.182 7.792
O 7.375 5.101 1.097
O 7.439 3.225 8.104
O 7.455 0.875 5.449
O 7.543 7.410 3.313
```

Largest 12 diffraction maxima, by angle, 10 to 90 degrees two-theta:
- 17.9°, rel. 100
- 33.6°, rel. 21
- 35.1°, rel. 16
- 35.2°, rel. 16
- 36.3°, rel. 19
- 40.3°, rel. 20
- 42.9°, rel. 17
- 43.1°, rel. 17
- 45.7°, rel. 10
- 60.3°, rel. 12
- 60.4°, rel. 11
- 62.5°, rel. 16



Starting from a cell relaxed with GGA+U, the X-ray diffraction stick pattern of Li2Mn3SnO8 was computed for Cu Kα.

Cell and atoms:
```
28
Lattice="5.281 -2.997 0.000 5.281 2.997 0.000 -3.697 0.000 10.046" Properties=species:S:1:pos:R:3 pbc="T T T"
Li 0.803 1.566 6.888
Li 4.213 1.566 8.182
Li 2.652 -1.566 1.865
Li 6.062 -1.566 3.158
Mn 0.000 0.000 0.000
Mn -1.849 0.000 5.023
Mn 2.641 1.499 0.000
Mn 0.792 -1.499 5.023
Mn 5.281 0.000 0.000
Mn 3.432 0.000 5.023
Sn 4.357 1.416 2.512
Sn 2.508 -1.416 7.535
O -1.995 0.199 8.903
O 0.917 1.507 9.000
O -0.147 -0.199 3.880
O 2.709 1.307 3.761
O 4.099 1.507 6.070
O 3.604 0.079 1.045
O 1.756 -0.079 6.068
O 6.004 1.307 1.262
O 0.861 -1.307 8.784
O 5.109 0.079 3.978
O 3.261 -0.079 9.001
O 2.766 -1.507 3.976
O 4.156 -1.307 6.285
O 7.012 0.199 6.167
O 5.947 -1.507 1.047
O 8.860 -0.199 1.143
```

Largest 12 diffraction maxima, by angle, 10 to 90 degrees two-theta:
- 17.9°, rel. 100
- 20.8°, rel. 5
- 34.3°, rel. 14
- 34.5°, rel. 14
- 34.8°, rel. 23
- 36.4°, rel. 9
- 41.4°, rel. 18
- 42.3°, rel. 33
- 46.1°, rel. 8
- 55.9°, rel. 6
- 60.4°, rel. 11
- 61.1°, rel. 10



Repeat the fourth record exactly.
Starting from a cell relaxed with GGA+U, the X-ray diffraction stick pattern of Li2Mn3SnO8 was computed for Cu Kα.

Cell and atoms:
```
28
Lattice="2.923 -5.331 0.000 2.923 5.331 0.000 0.000 0.000 9.771" Properties=species:S:1:pos:R:3 pbc="T T T"
Li 2.923 5.209 4.886
Li 2.923 1.638 3.961
Li 2.923 -1.638 8.847
Li 2.923 -5.209 0.000
Mn 1.478 0.876 7.068
Mn 2.923 3.495 7.057
Mn 1.478 -0.876 2.183
Mn 4.368 0.876 7.068
Mn 2.923 -3.495 2.171
Mn 4.368 -0.876 2.183
Sn 2.923 1.959 9.758
Sn 2.923 -1.959 4.873
O 2.923 5.250 7.935
O 1.624 2.749 8.280
O 1.388 1.045 1.017
O 2.923 3.779 1.050
O 2.923 1.794 6.091
O 1.388 -1.045 5.902
O 4.222 2.749 8.280
O 2.923 0.290 8.292
O 2.923 -0.290 3.406
O 1.624 -2.749 3.395
O 4.458 1.045 1.017
O 2.923 -1.794 1.205
O 2.923 -3.779 5.936
O 4.458 -1.045 5.902
O 4.222 -2.749 3.395
O 2.923 -5.250 3.049
```

Largest 12 diffraction maxima, by angle, 10 to 90 degrees two-theta:
- 19.0°, rel. 34
- 19.6°, rel. 100
- 24.7°, rel. 23
- 25.2°, rel. 22
- 32.6°, rel. 39
- 34.8°, rel. 46
- 34.9°, rel. 23
- 35.8°, rel. 23
- 36.2°, rel. 22
- 45.0°, rel. 26
- 59.5°, rel. 26
- 61.0°, rel. 20